Record 1
Computed powder diffractogram
Compound: BaSr3Pt8
Radiation: a wavelength of 1.5418 Å
Structure: a structure optimized by DFT (GGA-PBE)

Structure:
Cell: 5.6121 5.6121 27.4287 Å, 90.00 90.00 120.00°
Space group R3m (No. 160, hexagonal axes)
Asymmetric unit:
Ba: 0.0000 0.0000 0.0000 (multiplicity 3)
Sr: 0.0000 0.0000 0.1253 (multiplicity 3)
Sr: 0.0000 0.0000 0.5001 (multiplicity 3)
Sr: 0.0000 0.0000 0.6245 (multiplicity 3)
Pt: 0.0000 0.0000 0.3121 (multiplicity 3)
Pt: 0.0000 0.0000 0.8128 (multiplicity 3)
Pt: 0.0013 0.5007 0.0641 (multiplicity 9)
Pt: 0.1677 0.3354 0.8944 (multiplicity 9)

Largest 8 diffraction maxima, low angle first, 2θ from 10° to 90°:
- 19.4 deg, d 4.579, I 37, hkl 0 1 2
- 37.6 deg, d 2.391, I 100, hkl 2 0 2
- 39.4 deg, d 2.289, I 63, hkl 0 2 4
- 45.8 deg, d 1.983, I 17, hkl 2 0 8
- 60.7 deg, d 1.526, I 31, hkl 3 0 6
- 66.7 deg, d 1.403, I 16, hkl 2 2 0
- 66.8 deg, d 1.401, I 16, hkl 0 2 16
- 80.3 deg, d 1.196, I 18, hkl 4 0 4



Record 2
Computed powder diffractogram
Compound: Ac2La6Pm
Radiation: a wavelength of 1.5418 Å
Structure: a structure optimized by DFT (GGA-PBE)

Structure:
Cell: 15.7845 10.3773 9.4637 Å, 90.00 117.41 90.00°
Space group C2/c (No. 15)
Asymmetric unit:
Ac: 0.0911 0.0881 0.1713 (multiplicity 8)
La: 0.0807 0.4330 0.1670 (multiplicity 8)
La: 0.1649 0.2457 0.5807 (multiplicity 8)
La: 0.2380 0.4142 0.9931 (multiplicity 8)
Pm: 0.0000 0.2422 0.7500 (multiplicity 4)

Largest 8 diffraction maxima, low angle first, 2θ from 10° to 90°:
- 29.4 deg, d 3.038, I 52, hkl 2 0 2
- 29.7 deg, d 3.006, I 100, hkl 1 3 1
- 29.9 deg, d 2.989, I 82, hkl 3 1 -3
- 30.0 deg, d 2.978, I 43, hkl 4 2 -2
- 42.6 deg, d 2.124, I 17, hkl 2 2 -4
- 52.4 deg, d 1.748, I 28, hkl 3 3 3
- 53.0 deg, d 1.729, I 27, hkl 0 6 0
- 59.4 deg, d 1.556, I 27, hkl 7 3 -5



Record 3
Computed powder diffractogram
Compound: Al7Ag
Radiation: a wavelength of 1.5418 Å
Structure: a structure optimized by DFT (GGA-PBE)

Structure:
Cell: 5.6747 7.9755 5.9190 Å, 90.00 90.00 90.00°
Space group Cmmm (No. 65)
Asymmetric unit:
Al: 0.0000 0.0000 0.0000 (multiplicity 2)
Al: 0.0000 0.0000 0.5000 (multiplicity 2)
Al: 0.0000 0.5000 0.0000 (multiplicity 2)
Al: 0.2500 0.2500 0.2476 (multiplicity 8)
Ag: 0.0000 0.5000 0.5000 (multiplicity 2)

Largest 8 diffraction maxima, low angle first, 2θ from 10° to 90°:
- 15.0 deg, d 5.919, I 37, hkl 0 0 1
- 19.2 deg, d 4.624, I 44, hkl 1 1 0
- 24.4 deg, d 3.644, I 51, hkl 1 1 1
- 37.9 deg, d 2.377, I 100, hkl 0 2 2
- 39.0 deg, d 2.312, I 92, hkl 2 2 0
- 44.2 deg, d 2.048, I 63, hkl 2 0 2
- 45.5 deg, d 1.994, I 29, hkl 0 4 0
- 65.3 deg, d 1.429, I 38, hkl 2 4 2



Record 4
Computed powder diffractogram
Compound: KPa2Te4
Radiation: a wavelength of 1.5418 Å
Structure: a structure optimized by DFT (GGA-PBE)

Structure:
Cell: 4.3482 4.3482 48.5909 Å, 90.00 90.00 120.00°
Space group R-3m (No. 166, hexagonal axes)
Asymmetric unit:
K: 0.0000 0.0000 0.0000 (multiplicity 3)
Pa: 0.0000 0.0000 0.0910 (multiplicity 6)
Te: 0.0000 0.0000 0.2060 (multiplicity 6)
Te: 0.0000 0.0000 0.3849 (multiplicity 6)

Largest 8 diffraction maxima, low angle first, 2θ from 10° to 90°:
- 10.9 deg, d 8.098, I 100, hkl 0 0 6
- 23.7 deg, d 3.754, I 23, hkl 1 0 1
- 24.8 deg, d 3.597, I 34, hkl 1 0 4
- 26.9 deg, d 3.310, I 61, hkl 1 0 7
- 30.0 deg, d 2.976, I 91, hkl 1 0 10
- 31.2 deg, d 2.866, I 31, hkl 0 1 11
- 39.6 deg, d 2.277, I 52, hkl 0 1 17
- 41.5 deg, d 2.174, I 58, hkl 1 1 0